# 1
Diffraction record for Sr7CN6. The powder diffraction line list is calculated, not measured: it uses the PBE geometry in the Materials Project and Cu Kα X-rays.

Most intense lines, 15° ≤ 2θ ≤ 90°, by angle:
- (3 1 0), 27.0 deg, rel. 20
- (1 2 1), 28.8 deg, rel. 53
- (0 2 2), 30.1 deg, rel. 19
- (2 0 4), 31.1 deg, rel. 100
- (4 0 0), 31.4 deg, rel. 16
- (2 2 2), 34.1 deg, rel. 30
- (1 2 3), 34.7 deg, rel. 34
- (4 1 1), 34.9 deg, rel. 52
- (5 1 4), 50.4 deg, rel. 17
- (6 1 3), 54.3 deg, rel. 18

a b c (Å): 11.407 6.632 13.301
angles (deg): 90.00 90.00 90.00
Space group Pbcn (No. 60)
Unique sites:
Sr  0.000  0.034  0.250 x4
Sr  0.045  0.244  0.512 x8
Sr  0.204  0.372  0.139 x8
Sr  0.210  0.363  0.878 x8
C  0.000  0.436  0.750 x4
N  0.032  0.429  0.341 x8
N  0.105  0.296  0.712 x8
N  0.165  0.090  0.005 x8

# 2
Diffraction record for Ta2CN. The powder diffraction line list is calculated, not measured: it uses the PBE geometry in the Materials Project and Cu Kα X-rays.

Most intense lines, 15° ≤ 2θ ≤ 90°, by angle:
- (1 0 1), 34.9 deg, rel. 100
- (1 1 0), 40.5 deg, rel. 65
- (2 0 0), 58.6 deg, rel. 44
- (2 1 1), 70.1 deg, rel. 42
- (2 0 2), 73.7 deg, rel. 15
- (0 0 4), 87.5 deg, rel. 2
- (2 2 0), 87.7 deg, rel. 5

a b c (Å): 3.147 3.147 4.458
angles (deg): 90.00 90.00 90.00
Space group P4/mmm (No. 123)
Unique sites:
Ta  0.000  0.000  0.000 x1
Ta  0.500  0.500  0.500 x1
C  0.000  0.000  0.500 x1
N  0.500  0.500  0.000 x1

# 3
Diffraction record for Ta2C3N6. The powder diffraction line list is calculated, not measured: it uses the PBE geometry in the Materials Project and Cu Kα X-rays.

Most intense lines, 15° ≤ 2θ ≤ 90°, by angle:
- (0 0 2), 17.3 deg, rel. 81
- (0 1 -1), 20.1 deg, rel. 62
- (0 1 1), 22.5 deg, rel. 43
- (0 1 -3), 30.3 deg, rel. 22
- (-2 1 1), 33.7 deg, rel. 45
- (0 0 4), 35.1 deg, rel. 25
- (1 1 1), 38.1 deg, rel. 100
- (1 1 3), 49.4 deg, rel. 52
- (3 0 -2), 60.2 deg, rel. 18
- (1 1 5), 64.9 deg, rel. 17

a b c (Å): 5.322 5.325 10.687
angles (deg): 90.06 104.34 119.93
Space group P-1 (No. 2)
Unique sites:
Ta  0.164  0.332  0.498 x2
Ta  0.167  0.836  0.998 x2
C  0.001  0.581  0.250 x2
C  0.331  0.081  0.750 x2
C  0.332  0.251  0.250 x2
N  0.055  0.452  0.871 x2
N  0.055  0.605  0.370 x2
N  0.234  0.049  0.630 x2
N  0.235  0.185  0.130 x2
N  0.419  0.104  0.870 x2
N  0.419  0.315  0.371 x2

# 4
Diffraction record for Ta2CN. The powder diffraction line list is calculated, not measured: it uses the PBE geometry in the Materials Project and Cu Kα X-rays.

Most intense lines, 15° ≤ 2θ ≤ 90°, by angle:
- (1 1 2), 34.8 deg, rel. 100
- (0 0 4), 40.2 deg, rel. 21
- (2 0 0), 40.6 deg, rel. 44
- (2 0 4), 58.4 deg, rel. 28
- (2 2 0), 58.7 deg, rel. 15
- (1 1 6), 69.6 deg, rel. 13
- (3 1 2), 70.1 deg, rel. 28
- (2 2 4), 73.6 deg, rel. 14
- (0 0 8), 86.8 deg, rel. 2
- (4 0 0), 87.8 deg, rel. 5

a b c (Å): 4.447 4.447 8.975
angles (deg): 90.00 90.00 90.00
Space group I4_1/amd (No. 141, origin choice 2)
Unique sites:
Ta  0.000  0.250  0.115 x8
C  0.000  0.250  0.875 x4
N  0.000  0.250  0.375 x4

# 5
Diffraction record for TaC6N9. The powder diffraction line list is calculated, not measured: it uses the PBE geometry in the Materials Project and Cu Kα X-rays.

Most intense lines, 15° ≤ 2θ ≤ 90°, by angle:
- (1 1 1), 16.1 deg, rel. 100
- (0 2 2), 21.1 deg, rel. 24
- (1 1 3), 26.7 deg, rel. 88
- (2 0 2), 28.8 deg, rel. 17
- (2 2 2), 32.6 deg, rel. 17
- (1 3 3), 34.3 deg, rel. 14
- (2 0 4), 39.2 deg, rel. 17
- (2 4 2), 42.1 deg, rel. 24
- (3 1 3), 44.5 deg, rel. 17
- (1 3 5), 46.2 deg, rel. 12

a b c (Å): 7.258 11.868 11.907
angles (deg): 90.00 90.00 90.00
Space group Cmcm (No. 63)
Unique sites:
Ta  0.000  0.228  0.250 x4
C  0.157  0.351  0.598 x16
C  0.159  0.100  0.750 x8
N  0.000  0.051  0.750 x4
N  0.000  0.379  0.557 x8
N  0.190  0.361  0.250 x8
N  0.193  0.171  0.131 x16

# 6
Diffraction record for Ti2CN. The powder diffraction line list is calculated, not measured: it uses the PBE geometry in the Materials Project and Cu Kα X-rays.

Most intense lines, 15° ≤ 2θ ≤ 90°, by angle:
- (0 1 2), 36.2 deg, rel. 76
- (1 0 4), 42.1 deg, rel. 100
- (1 1 0), 61.0 deg, rel. 56
- (2 0 2), 73.1 deg, rel. 28
- (0 2 4), 76.9 deg, rel. 18

a b c (Å): 3.0358 3.0358 14.8894
angles (deg): 90.00 90.00 120.00
Space group R-3m (No. 166, hexagonal axes)
Unique sites:
Ti  0.0000  0.0000  0.2493 x6
C  0.0000  0.0000  0.5000 x3
N  0.0000  0.0000  0.0000 x3

# 7
Diffraction record for Ti4CN3. The powder diffraction line list is calculated, not measured: it uses the PBE geometry in the Materials Project and Cu Kα X-rays.

Most intense lines, 15° ≤ 2θ ≤ 90°, by angle:
- (1 0 4), 36.4 deg, rel. 72
- (0 1 8), 42.3 deg, rel. 100
- (1 0 16), 61.3 deg, rel. 28
- (1 1 0), 61.4 deg, rel. 28
- (0 1 20), 73.4 deg, rel. 7
- (1 1 12), 73.5 deg, rel. 20
- (0 0 24), 77.1 deg, rel. 4
- (2 0 8), 77.4 deg, rel. 13

a b c (Å): 3.0210 3.0210 29.6765
angles (deg): 90.00 90.00 120.00
Space group R-3m (No. 166, hexagonal axes)
Unique sites:
Ti  0.0000  0.0000  0.1251 x6
Ti  0.0000  0.0000  0.3744 x6
C  0.0000  0.0000  0.5000 x3
N  0.0000  0.0000  0.0000 x3
N  0.0000  0.0000  0.2510 x6

# 8
Diffraction record for Ti4C3N. The powder diffraction line list is calculated, not measured: it uses the PBE geometry in the Materials Project and Cu Kα X-rays.

Most intense lines, 15° ≤ 2θ ≤ 90°, by angle:
- (1 0 4), 36.0 deg, rel. 81
- (0 1 8), 41.9 deg, rel. 100
- (1 1 0), 60.7 deg, rel. 57
- (1 1 12), 72.6 deg, rel. 29
- (2 0 8), 76.4 deg, rel. 13
- (0 0 24), 76.5 deg, rel. 4

a b c (Å): 3.0541 3.0541 29.8760
angles (deg): 90.00 90.00 120.00
Space group R-3m (No. 166, hexagonal axes)
Unique sites:
Ti  0.0000  0.0000  0.1242 x6
Ti  0.0000  0.0000  0.3746 x6
C  0.0000  0.0000  0.0000 x3
C  0.0000  0.0000  0.2490 x6
N  0.0000  0.0000  0.5000 x3